Simulated powder diffractogram
Compound: BeIn2Se
Radiation: Cu Kα X-rays
Structure: a crystal structure in Alexandria, relaxed with GGA-PBE
Kinematic intensities with the Lorentz-polarization factor, no thermal factor.

Main lines, by intensity (2θ from 5° to 70°):
- 35.4°, I 100.0
- 30.2°, I 89.5
- 28.8°, I 68.7
- 31.6°, I 47.6
- 43.3°, I 39.6
- 51.9°, I 29.3
- 55.4°, I 26.6
- 62.1°, I 23.9
- 68.0°, I 19.9
- 58.4°, I 17.7

Atomic structure:
```
data_BeIn2Se
_chemical_formula_sum 'Be2 In4 Se2'
_space_group_name_H-M_alt 'C m m 2'
_space_group_IT_number 35
_space_group_name_Hall 'C 2 -2'
_cell_length_a 3.6702
_cell_length_b 6.2027
_cell_length_c 8.4882
_cell_angle_alpha 90.00
_cell_angle_beta 90.00
_cell_angle_gamma 90.00
loop_
_atom_site_label
_atom_site_type_symbol
_atom_site_fract_x
_atom_site_fract_y
_atom_site_fract_z
Be1 Be 0.0000 0.0000 0.0000
In1 In 0.0000 0.0000 0.4438
In2 In 0.0000 0.5000 0.7608
Se1 Se 0.0000 0.5000 0.1272
```


Simulated powder diffractogram
Compound: Ag2BiO3
Radiation: Cu Kα X-rays
Structure: a crystal structure in Alexandria, relaxed with GGA-PBE
Kinematic intensities with the Lorentz-polarization factor, no thermal factor.

Main lines, by intensity (2θ from 5° to 70°):
- 33.7°, I 100.0
- 27.2°, I 58.2
- 33.1°, I 48.3
- 31.0°, I 42.5
- 56.1°, I 32.1
- 53.4°, I 20.8
- 30.8°, I 19.1
- 48.7°, I 16.5
- 34.4°, I 14.0
- 49.2°, I 13.6

Atomic structure:
```
data_Ag2BiO3
_chemical_formula_sum 'Ag8 Bi4 O12'
_space_group_name_H-M_alt 'P n n 2'
_space_group_IT_number 34
_space_group_name_Hall 'P 2 -2n'
_cell_length_a 6.1564
_cell_length_b 6.3444
_cell_length_c 9.7770
_cell_angle_alpha 90.00
_cell_angle_beta 90.00
_cell_angle_gamma 90.00
loop_
_atom_site_label
_atom_site_type_symbol
_atom_site_fract_x
_atom_site_fract_y
_atom_site_fract_z
Ag1 Ag 0.0301 0.2480 0.0000
Ag2 Ag 0.2470 0.4994 0.7445
Bi1 Bi 0.0000 0.0000 0.6458
Bi2 Bi 0.0000 0.5000 0.3529
O1 O 0.1076 0.7751 0.4948
O2 O 0.1768 0.8161 0.8072
O3 O 0.1935 0.6800 0.1815
```